Starting from a PBE+U-relaxed structure, the powder diffractogram of YbTlW2O8 was simulated for a wavelength of 1.5418 Å.

Atomic structure:
Cell: 11.2162 10.7567 7.4784 Å, 90.00 130.79 90.00°
Space group C2/c (No. 15)
Asymmetric unit:
Yb 0.0000 0.2231 0.2500 x4
Tl 0.0000 0.2204 0.7500 x4
W 0.1952 0.4953 0.2040 x8
O 0.0120 0.3893 0.4620 x8
O 0.1460 0.1028 0.2001 x8
O 0.1844 0.4392 0.9377 x8
O 0.2004 0.1457 0.6202 x8

Top 8 peaks for 10° ≤ 2θ ≤ 90°, in order of rising 2θ:
2θ 26.8, I 100.0
2θ 27.0, I 24.5
2θ 29.1, I 96.0
2θ 31.6, I 33.9
2θ 32.2, I 27.5
2θ 33.3, I 21.6
2θ 46.6, I 19.5
2θ 60.3, I 19.0